NpInI6: simulated powder XRD pattern (Cu Kα X-rays), based on a crystal structure in OQMD, relaxed with PBE.
No peak broadening, texture or thermal motion is included.

Structure:
Unit cell a=7.8147 b=13.3794 c=7.7729 alpha=90.00 beta=108.45 gamma=90.00
Fractional positions:
Np 0.0000 0.0000 0.0000
Np 0.5000 0.5000 0.0000
In 0.0000 0.6683 0.0000
In 0.5000 0.1683 0.0000
I 0.2185 0.8311 0.2394
I 0.2396 0.6577 0.7676
I 0.2473 0.5140 0.2332
I 0.2527 0.0140 0.7668
I 0.2604 0.1577 0.2324
I 0.2815 0.3311 0.7606
I 0.7185 0.3311 0.2394
I 0.7396 0.1577 0.7676
I 0.7473 0.0140 0.2332
I 0.7527 0.5140 0.7668
I 0.7604 0.6577 0.2324
I 0.7815 0.8311 0.7606

Peak list (12 most intense, 2θ from 15° to 90°, in order of rising 2θ)
2θ (°), intensity
15.5, 17
23.2, 21
24.4, 19
28.0, 100
28.2, 49
36.5, 13
39.6, 19
40.1, 36
40.3, 36
40.5, 18
50.1, 18
66.1, 14

TbIrI6: simulated powder XRD pattern (Cu Kα X-rays), based on a crystal structure in OQMD, relaxed with PBE.
No peak broadening, texture or thermal motion is included.

Structure:
Unit cell a=7.3514 b=12.7102 c=7.5587 alpha=90.00 beta=108.33 gamma=90.00
Fractional positions:
Tb 0.0000 0.0000 0.0000
Tb 0.5000 0.5000 0.0000
Ir 0.0000 0.3322 0.0000
Ir 0.5000 0.8322 0.0000
I 0.2173 0.1836 0.2293
I 0.2234 0.4799 0.2261
I 0.2256 0.3334 0.7772
I 0.2744 0.8334 0.2228
I 0.2766 0.9799 0.7739
I 0.2827 0.6836 0.7707
I 0.7173 0.6836 0.2293
I 0.7234 0.9799 0.2261
I 0.7256 0.8334 0.7772
I 0.7744 0.3334 0.2228
I 0.7766 0.4799 0.7739
I 0.7827 0.1836 0.7707

Peak list (12 most intense, 2θ from 15° to 90°, in order of rising 2θ)
2θ (°), intensity
16.2, 19
24.6, 21
25.7, 17
29.4, 100
29.6, 49
38.1, 17
38.3, 11
41.4, 18
41.7, 35
42.6, 48
44.6, 10
52.8, 20

Te8IrI5: simulated powder XRD pattern (Cu Kα X-rays), based on a crystal structure in OQMD, relaxed with PBE.
No peak broadening, texture or thermal motion is included.

Structure:
Unit cell a=9.9196 b=10.5196 c=11.5723 alpha=102.07 beta=112.25 gamma=92.42
Fractional positions:
Te 0.0509 0.3582 0.2719
Te 0.0674 0.4392 0.8789
Te 0.0770 0.8110 0.9818
Te 0.2092 0.2268 0.0018
Te 0.2978 0.8038 0.3315
Te 0.3059 0.4377 0.2267
Te 0.3953 0.5213 0.8214
Te 0.4465 0.6772 0.0743
Te 0.5535 0.3228 0.9257
Te 0.6047 0.4787 0.1786
Te 0.6941 0.5623 0.7733
Te 0.7022 0.1962 0.6685
Te 0.7907 0.7732 0.9982
Te 0.9230 0.1890 0.0182
Te 0.9326 0.5608 0.1211
Te 0.9491 0.6418 0.7281
Ir 0.1927 0.6254 0.1047
Ir 0.8073 0.3746 0.8953
I 0.0289 0.9356 0.2987
I 0.2082 0.6262 0.4878
I 0.3048 0.8573 0.8634
I 0.3957 0.2823 0.5768
I 0.4193 0.0142 0.2581
I 0.5807 0.9858 0.7419
I 0.6043 0.7177 0.4232
I 0.6952 0.1427 0.1366
I 0.7918 0.3738 0.5122
I 0.9711 0.0644 0.7013

Peak list (12 most intense, 2θ from 15° to 90°, in order of rising 2θ)
2θ (°), intensity
20.2, 19
25.2, 26
27.3, 100
27.6, 23
28.9, 44
29.2, 68
30.5, 55
32.9, 25
34.7, 35
41.2, 31
44.2, 21
47.2, 30

TmIr2I: simulated powder XRD pattern (Cu Kα X-rays), based on a crystal structure in OQMD, relaxed with PBE.
No peak broadening, texture or thermal motion is included.

Structure:
Unit cell a=5.6088 b=5.7019 c=5.7886 alpha=74.04 beta=76.94 gamma=76.15
Fractional positions:
Tm 0.1982 0.2108 0.0257
Tm 0.8018 0.7892 0.9743
Ir 0.2999 0.1721 0.5231
Ir 0.3479 0.7474 0.8633
Ir 0.6521 0.2526 0.1367
Ir 0.7001 0.8279 0.4769
I 0.2057 0.6654 0.3374
I 0.7943 0.3346 0.6626

Peak list (12 most intense, 2θ from 15° to 90°, in order of rising 2θ)
2θ (°), intensity
22.1, 63
32.7, 25
32.8, 57
33.3, 92
33.4, 91
33.7, 40
34.4, 32
40.2, 100
41.1, 63
42.9, 67
44.8, 21
45.1, 20

YIrI6: simulated powder XRD pattern (Cu Kα X-rays), based on a crystal structure in OQMD, relaxed with PBE.
No peak broadening, texture or thermal motion is included.

Structure:
Unit cell a=7.3395 b=12.6800 c=7.4706 alpha=90.00 beta=108.52 gamma=90.00
Fractional positions:
Y 0.0000 0.0000 0.0000
Y 0.5000 0.5000 0.0000
Ir 0.0000 0.3324 0.0000
Ir 0.5000 0.8324 0.0000
I 0.2178 0.1830 0.2316
I 0.2253 0.3338 0.7749
I 0.2246 0.4802 0.2283
I 0.2747 0.8338 0.2251
I 0.2754 0.9802 0.7717
I 0.2822 0.6830 0.7684
I 0.7178 0.6830 0.2316
I 0.7253 0.8338 0.7749
I 0.7246 0.9802 0.2283
I 0.7747 0.3338 0.2251
I 0.7754 0.4802 0.7717
I 0.7822 0.1830 0.7684

Peak list (12 most intense, 2θ from 15° to 90°, in order of rising 2θ)
2θ (°), intensity
16.3, 20
24.7, 16
25.1, 16
25.6, 14
25.8, 28
29.6, 100
29.7, 49
38.4, 19
41.8, 18
42.1, 35
42.7, 47
53.0, 15

K4La6OsI14: simulated powder XRD pattern (Cu Kα X-rays), based on a crystal structure in OQMD, relaxed with PBE.
No peak broadening, texture or thermal motion is included.

Structure:
Unit cell a=10.1214 b=10.1214 c=22.3542 alpha=90.00 beta=90.00 gamma=90.00
Fractional positions:
K 0.1688 0.3312 0.2500
K 0.1688 0.3312 0.7500
K 0.3312 0.8312 0.2500
K 0.3312 0.8312 0.7500
K 0.6688 0.1688 0.2500
K 0.6688 0.1688 0.7500
K 0.8312 0.6688 0.2500
K 0.8312 0.6688 0.7500
La 0.0000 0.0000 0.1275
La 0.0000 0.0000 0.8725
La 0.0918 0.7299 0.0000
La 0.2299 0.5918 0.5000
La 0.2701 0.0918 0.0000
La 0.4082 0.2299 0.5000
La 0.5000 0.5000 0.3725
La 0.5000 0.5000 0.6275
La 0.5918 0.7701 0.5000
La 0.7299 0.9082 0.0000
La 0.7701 0.4082 0.5000
La 0.9082 0.2701 0.0000
Os 0.0000 0.0000 0.0000
Os 0.5000 0.5000 0.5000
I 0.0000 0.0000 0.2770
I 0.0000 0.0000 0.7230
I 0.0929 0.2999 0.5000
I 0.1032 0.6927 0.1464
I 0.1032 0.6927 0.8536
I 0.1927 0.6032 0.3536
I 0.1927 0.6032 0.6464
I 0.2001 0.4071 0.0000
I 0.2999 0.9071 0.5000
I 0.3073 0.1032 0.1464
I 0.3073 0.1032 0.8536
I 0.3968 0.1927 0.3536
I 0.3968 0.1927 0.6464
I 0.4071 0.7999 0.0000
I 0.5000 0.5000 0.2230
I 0.5000 0.5000 0.7770
I 0.5929 0.2001 0.0000
I 0.6032 0.8073 0.3536
I 0.6032 0.8073 0.6464
I 0.6927 0.8968 0.1464
I 0.6927 0.8968 0.8536
I 0.7001 0.0929 0.5000
I 0.7999 0.5929 0.0000
I 0.8073 0.3968 0.3536
I 0.8073 0.3968 0.6464
I 0.8968 0.3073 0.1464
I 0.8968 0.3073 0.8536
I 0.9071 0.7001 0.5000

Peak list (12 most intense, 2θ from 15° to 90°, in order of rising 2θ)
2θ (°), intensity
19.6, 27
23.9, 47
25.3, 56
27.9, 98
28.2, 100
29.3, 33
32.0, 37
34.4, 26
39.9, 97
40.0, 29
42.9, 51
65.2, 28

KTa4IO5: simulated powder XRD pattern (Cu Kα X-rays), based on a crystal structure in OQMD, relaxed with PBE.
No peak broadening, texture or thermal motion is included.

Structure:
Unit cell a=4.2159 b=4.2159 c=9.7196 alpha=90.00 beta=90.00 gamma=90.00
Fractional positions:
K 0.0000 0.0000 0.0000
Ta 0.0000 0.5000 0.5000
Ta 0.5000 0.0000 0.5000
Ta 0.5000 0.5000 0.2977
Ta 0.5000 0.5000 0.7023
I 0.5000 0.5000 0.0000
O 0.0000 0.0000 0.5000
O 0.0000 0.5000 0.2845
O 0.0000 0.5000 0.7155
O 0.5000 0.0000 0.2845
O 0.5000 0.0000 0.7155

Peak list (12 most intense, 2θ from 15° to 90°, in order of rising 2θ)
2θ (°), intensity
21.1, 89
28.0, 26
31.4, 65
34.9, 41
35.3, 46
37.0, 30
41.1, 100
42.9, 79
57.9, 32
62.3, 28
73.7, 24
77.4, 33

K2ZnI4: simulated powder XRD pattern (Cu Kα X-rays), based on a crystal structure in OQMD, relaxed with PBE.
No peak broadening, texture or thermal motion is included.

Structure:
Unit cell a=7.8861 b=8.1549 c=9.7907 alpha=90.00 beta=108.40 gamma=90.00
Fractional positions:
K 0.2144 0.0000 0.0499
K 0.2669 0.9972 0.5710
K 0.7331 0.4972 0.4290
K 0.7856 0.5000 0.9501
Zn 0.2192 0.5168 0.7971
Zn 0.7808 0.0168 0.2029
I 0.0079 0.2568 0.7393
I 0.0136 0.2624 0.2674
I 0.4003 0.5312 0.0733
I 0.4221 0.5288 0.6293
I 0.5779 0.0288 0.3707
I 0.5997 0.0312 0.9267
I 0.9864 0.7624 0.7326
I 0.9921 0.7568 0.2606

Peak list (12 most intense, 2θ from 15° to 90°, in order of rising 2θ)
2θ (°), intensity
19.1, 30
22.0, 24
24.9, 100
25.4, 47
25.6, 47
27.7, 32
27.8, 30
29.1, 68
36.7, 35
41.7, 31
41.8, 29
51.9, 26

KZr6I14: simulated powder XRD pattern (Cu Kα X-rays), based on a crystal structure in OQMD, relaxed with PBE.
No peak broadening, texture or thermal motion is included.

Structure:
Unit cell a=11.0047 b=11.0047 c=14.4502 alpha=90.00 beta=90.00 gamma=82.66
Fractional positions:
K 0.0000 0.0000 0.0000
K 0.5000 0.5000 0.5000
Zr 0.0496 0.1743 0.8456
Zr 0.1289 0.8711 0.8490
Zr 0.1743 0.0496 0.1544
Zr 0.3257 0.4504 0.6544
Zr 0.3711 0.6289 0.3490
Zr 0.4504 0.3257 0.3456
Zr 0.5496 0.6743 0.6544
Zr 0.6289 0.3711 0.6510
Zr 0.6743 0.5496 0.3456
Zr 0.8257 0.9504 0.8456
Zr 0.8711 0.1289 0.1510
Zr 0.9504 0.8257 0.1544
I 0.0372 0.2196 0.2781
I 0.1005 0.3995 0.7500
I 0.1015 0.6794 0.0035
I 0.1688 0.8312 0.2718
I 0.1794 0.6015 0.5035
I 0.2196 0.0372 0.7219
I 0.2242 0.2242 0.0000
I 0.2758 0.2758 0.5000
I 0.2804 0.4628 0.2219
I 0.3206 0.8985 0.0035
I 0.3312 0.6688 0.7718
I 0.3995 0.1005 0.2500
I 0.3985 0.8206 0.5035
I 0.4628 0.2804 0.7781
I 0.5372 0.7196 0.2219
I 0.6015 0.1794 0.4965
I 0.6005 0.8995 0.7500
I 0.6688 0.3312 0.2282
I 0.6794 0.1015 0.9965
I 0.7196 0.5372 0.7781
I 0.7242 0.7242 0.5000
I 0.7758 0.7758 0.0000
I 0.7804 0.9628 0.2781
I 0.8206 0.3985 0.4965
I 0.8312 0.1688 0.7282
I 0.8985 0.3206 0.9965
I 0.8995 0.6005 0.2500
I 0.9628 0.7804 0.7219

Peak list (12 most intense, 2θ from 15° to 90°, in order of rising 2θ)
2θ (°), intensity
24.6, 38
25.6, 27
27.5, 75
27.7, 100
30.8, 19
31.1, 52
37.9, 18
40.0, 34
43.3, 26
43.8, 23
50.5, 22
52.5, 18

LaNdI3N: simulated powder XRD pattern (Cu Kα X-rays), based on a crystal structure in OQMD, relaxed with PBE.
No peak broadening, texture or thermal motion is included.

Structure:
Unit cell a=10.5278 b=10.5278 c=12.9296 alpha=125.21 beta=125.21 gamma=22.83
Fractional positions:
La 0.1314 0.1314 0.2746
La 0.8686 0.8686 0.7254
Nd 0.4308 0.4308 0.0370
Nd 0.5692 0.5692 0.9630
I 0.0367 0.0367 0.7494
I 0.2144 0.2144 0.1211
I 0.3325 0.3325 0.4930
I 0.6675 0.6675 0.5070
I 0.7856 0.7856 0.8789
I 0.9633 0.9633 0.2506
N 0.4291 0.4291 0.8532
N 0.5709 0.5709 0.1468

Peak list (12 most intense, 2θ from 15° to 90°, in order of rising 2θ)
2θ (°), intensity
24.7, 35
25.0, 38
25.9, 44
27.3, 25
27.6, 29
27.9, 49
29.8, 100
32.1, 35
35.4, 65
37.5, 52
39.3, 38
43.4, 33

LaPuI3N: simulated powder XRD pattern (Cu Kα X-rays), based on a crystal structure in OQMD, relaxed with PBE.
No peak broadening, texture or thermal motion is included.

Structure:
Unit cell a=10.3658 b=10.3658 c=12.7147 alpha=124.92 beta=124.92 gamma=23.10
Fractional positions:
La 0.1299 0.1299 0.2719
La 0.8701 0.8701 0.7281
Pu 0.4318 0.4318 0.0365
Pu 0.5682 0.5682 0.9635
I 0.0374 0.0374 0.7491
I 0.2148 0.2148 0.1202
I 0.3334 0.3334 0.4935
I 0.6666 0.6666 0.5065
I 0.7852 0.7852 0.8798
I 0.9626 0.9626 0.2509
N 0.4347 0.4347 0.8643
N 0.5653 0.5653 0.1357

Peak list (12 most intense, 2θ from 15° to 90°, in order of rising 2θ)
2θ (°), intensity
24.9, 48
25.2, 31
26.1, 48
28.1, 32
28.3, 50
30.0, 100
32.5, 41
35.8, 27
36.1, 34
38.0, 52
39.7, 26
43.6, 33